[1]
This entry pairs a crystal structure of Sr2CaSb2 with its calculated PXRD pattern. Radiation: a wavelength of 1.5418 Å. Structure: a structure optimized by DFT (GGA-PBE).
Kinematic intensities with the Lorentz-polarization factor, no thermal factor.

Atomic structure:
Cell: 13.225 8.083 8.190 Å, 90.00 90.00 90.00°
Space group Pbcm (No. 57)
Inequivalent atoms, fractional coordinates:
Sr (0.052, 0.250, 0.000) (multiplicity 4)
Sr (0.447, 0.250, 0.000) (multiplicity 4)
Ca (0.250, 0.750, 0.000) (multiplicity 4)
Sb (0.112, 0.555, 0.250) (multiplicity 4)
Sb (0.388, 0.555, 0.750) (multiplicity 4)

Principal peaks in the range 15 to 90 degrees two-theta, in order of rising 2θ:
d/Å, Position (°2θ), I_rel
4.340, 20.46, 1000
2.877, 31.09, 573
2.813, 31.81, 447
2.572, 34.88, 253
2.559, 35.07, 173
2.409, 37.33, 213
2.299, 39.19, 251
1.529, 60.55, 170


[2]
This entry pairs a crystal structure of Cs3Au2I7 with its calculated PXRD pattern. Radiation: a wavelength of 1.5418 Å. Structure: a structure optimized by DFT (GGA-PBE).
Kinematic intensities with the Lorentz-polarization factor, no thermal factor.

Atomic structure:
Cell: 5.891 5.891 30.322 Å, 90.00 90.00 90.00°
Space group I4/mmm (No. 139)
Inequivalent atoms, fractional coordinates:
Cs (0.000, 0.000, 0.000) (multiplicity 2)
Cs (0.000, 0.000, 0.179) (multiplicity 4)
Au (0.000, 0.000, 0.404) (multiplicity 4)
I (0.000, 0.000, 0.309) (multiplicity 4)
I (0.000, 0.000, 0.500) (multiplicity 2)
I (0.000, 0.500, 0.092) (multiplicity 8)

Principal peaks in the range 15 to 90 degrees two-theta, in order of rising 2θ:
d/Å, Position (°2θ), I_rel
5.783, 15.32, 323
4.165, 21.33, 373
3.214, 27.75, 537
3.032, 29.46, 353
2.945, 30.35, 1000
2.113, 42.80, 508
2.083, 43.45, 371
1.717, 53.37, 265


[3]
This entry pairs a crystal structure of YbMgSe3 with its calculated PXRD pattern. Radiation: a wavelength of 1.5418 Å. Structure: a structure optimized by DFT (GGA-PBE).
Kinematic intensities with the Lorentz-polarization factor, no thermal factor.

Atomic structure:
Cell: 7.301 13.378 5.530 Å, 90.00 101.86 90.00°
Space group C2/m (No. 12)
Inequivalent atoms, fractional coordinates:
Yb (0.159, 0.000, 0.300) (multiplicity 4)
Mg (0.000, 0.335, 0.000) (multiplicity 4)
Se (0.229, 0.209, 0.296) (multiplicity 8)
Se (0.240, 0.500, 0.168) (multiplicity 4)

Principal peaks in the range 15 to 90 degrees two-theta, in order of rising 2θ:
d/Å, Position (°2θ), I_rel
3.782, 23.52, 863
3.573, 24.92, 910
3.345, 26.65, 1000
3.311, 26.93, 590
2.706, 33.10, 456
2.668, 33.59, 751
2.442, 36.81, 498
1.908, 47.65, 453